Diffraction record for Li9Co7O16. The XRD peak list is computed, not measured: it uses a PBE+U-relaxed structure and λ = 1.5418 Å (Cu Kα).

Top 6 peaks for 10 to 80 degrees two-theta, in order of falling intensity:
- (0 2 1), 2θ 18.38, d 4.827, intensity 100
- (1 3 0), 2θ 42.33, d 2.135, intensity 31
- (1 -3 1), 2θ 43.51, d 2.080, intensity 28
- (0 2 5), 2θ 44.97, d 2.016, intensity 25
- (1 1 -1), 2θ 35.23, d 2.547, intensity 18
- (2 0 1), 2θ 62.32, d 1.490, intensity 16

Cell and atoms:
a b c (Å): 2.9798 9.8666 10.2751
angles (deg): 73.43 81.74 88.59
Space group P-1 (No. 2)
One atom of each set of equivalent atoms:
Li  0.0000  0.0000  0.0000 (multiplicity 1)
Li  0.0646  0.3138  0.8723 (multiplicity 2)
Li  0.1820  0.9380  0.6265 (multiplicity 2)
Li  0.3133  0.5615  0.3744 (multiplicity 2)
Li  0.4391  0.1831  0.1235 (multiplicity 2)
Co  0.1248  0.6239  0.7470 (multiplicity 2)
Co  0.2539  0.2484  0.5028 (multiplicity 2)
Co  0.3778  0.8801  0.2406 (multiplicity 2)
Co  0.5000  0.5000  0.0000 (multiplicity 1)
O  0.0342  0.6483  0.9350 (multiplicity 2)
O  0.0613  0.9815  0.8074 (multiplicity 2)
O  0.1986  0.2710  0.6833 (multiplicity 2)
O  0.2151  0.6009  0.5657 (multiplicity 2)
O  0.2761  0.8970  0.4266 (multiplicity 2)
O  0.3500  0.2252  0.3192 (multiplicity 2)
O  0.3980  0.5208  0.1876 (multiplicity 2)
O  0.4565  0.8433  0.0829 (multiplicity 2)